For Pr6DyY, a GGA-PBE-relaxed structure gives the theoretical XRD peak list in this record (a wavelength of 1.5418 Å).

Atomic structure:
```
data_Pr6DyY
_cell_length_a 8.992
_cell_length_b 8.236
_cell_length_c 6.362
_cell_angle_alpha 74.82
_cell_angle_beta 62.12
_cell_angle_gamma 43.06
_symmetry_space_group_name_H-M 'P 1'
_symmetry_Int_Tables_number 1
_symmetry_space_group_name_Hall 'P 1'
loop_
_atom_site_label
_atom_site_fract_x
_atom_site_fract_y
_atom_site_fract_z
_atom_site_occupancy
Pr1 0.123 0.123 0.377 1
Pr2 0.250 0.250 0.750 1
Pr3 0.377 0.377 0.123 1
Pr4 0.623 0.623 0.877 1
Pr5 0.750 0.750 0.250 1
Pr6 0.877 0.877 0.623 1
Dy1 0.000 0.000 0.000 1
Y1 0.500 0.500 0.500 1
```

Main lines, sorted by position (5 to 70 degrees two-theta):
two_theta  I/Imax
29.7  100
29.8  99
34.4  68
34.7  33
49.6  60
58.6  29